This entry pairs a crystal structure of CaMg6CdO8 with its simulated X-ray powder pattern. Radiation: a wavelength of 1.5418 Å. Structure: the PBE geometry in the Materials Project.

Structural model:
```
CaMg6CdO8
1.0
4.4581 0.0000 0.0000
0.0000 4.4581 0.0000
0.0000 0.0000 8.8029
Ca Mg Cd O
1 6 1 8
Direct
0.0000 0.0000 0.0000 Ca
0.0000 0.0000 0.5000 Mg
0.0000 0.5000 0.2628 Mg
0.0000 0.5000 0.7372 Mg
0.5000 0.0000 0.2628 Mg
0.5000 0.0000 0.7372 Mg
0.5000 0.5000 0.5000 Mg
0.5000 0.5000 0.0000 Cd
0.0000 0.0000 0.2652 O
0.0000 0.0000 0.7348 O
0.0000 0.5000 0.0000 O
0.0000 0.5000 0.5000 O
0.5000 0.0000 0.0000 O
0.5000 0.0000 0.5000 O
0.5000 0.5000 0.2678 O
0.5000 0.5000 0.7322 O
```

Peak list (10 most intense, 10° ≤ 2θ ≤ 80°, sorted by position)
10.0 deg, I 58.1; 20.2 deg, I 18.7; 22.4 deg, I 24.8; 30.1 deg, I 26.9; 35.0 deg, I 49.7; 40.5 deg, I 100.0; 41.0 deg, I 45.6; 58.6 deg, I 29.4; 59.0 deg, I 54.7; 74.0 deg, I 25.5